LiNiPO4: theoretical X-ray diffraction stick pattern (copper Kα), based on a crystal structure in the Materials Project, relaxed with GGA+U.

Atomic structure:
```
data_LiNiPO4
_space_group_name_H-M_alt 'P 1'
_space_group_IT_number 1
_space_group_name_Hall 'P 1'
_cell_length_a 4.7321
_cell_length_b 5.9267
_cell_length_c 10.1438
_cell_angle_alpha 90.00
_cell_angle_beta 90.00
_cell_angle_gamma 90.00
loop_
_atom_site_label
_atom_site_fract_x
_atom_site_fract_y
_atom_site_fract_z
Li1 0.0018 0.2496 0.2489
Li2 0.4982 0.7504 0.7489
Li3 0.5018 0.2504 0.7511
Li4 0.9982 0.7496 0.2511
Ni1 0.0184 0.5008 0.9743
Ni2 0.4816 0.4992 0.4743
Ni3 0.5184 0.9992 0.0257
Ni4 0.9816 0.0008 0.5257
P1 0.0832 0.0011 0.8442
P2 0.4168 0.9989 0.3442
P3 0.5832 0.4989 0.1558
P4 0.9168 0.5011 0.6558
O1 0.2009 0.0012 0.7011
O2 0.2244 0.7935 0.9155
O3 0.2251 0.2083 0.9154
O4 0.2409 0.5009 0.6502
O5 0.2591 0.4991 0.1502
O6 0.2749 0.7917 0.4154
O7 0.2756 0.2065 0.4155
O8 0.2991 0.9988 0.2011
O9 0.7009 0.4988 0.2989
O10 0.7244 0.7065 0.0845
O11 0.7251 0.2917 0.0846
O12 0.7409 0.9991 0.3498
O13 0.7591 0.0009 0.8498
O14 0.7749 0.7083 0.5846
O15 0.7756 0.2935 0.5845
O16 0.7991 0.5012 0.7989
```

Principal peaks in the range 10° ≤ 2θ ≤ 90°, by angle:
(0 0 2), 2θ 17.49, 5.072 Å, I 41; (1 0 1), 2θ 20.71, 4.288 Å, I 46; (1 1 1), 2θ 25.64, 3.474 Å, I 90; (0 2 0), 2θ 30.16, 2.963 Å, I 58; (1 0 3), 2θ 32.55, 2.751 Å, I 19; (1 1 3), 2θ 35.99, 2.495 Å, I 100; (1 2 1), 2θ 36.87, 2.438 Å, I 24; (2 0 2), 2θ 42.12, 2.146 Å, I 20; (2 2 2), 2θ 52.69, 1.737 Å, I 36; (1 3 3), 2θ 57.43, 1.605 Å, I 24

=====

LiNi3P3O13: theoretical X-ray diffraction stick pattern (copper Kα), based on a crystal structure in the Materials Project, relaxed with GGA+U.

Atomic structure:
```
data_LiNi3P3O13
_space_group_name_H-M_alt 'P 1'
_space_group_IT_number 1
_space_group_name_Hall 'P 1'
_cell_length_a 7.4050
_cell_length_b 6.2768
_cell_length_c 10.2808
_cell_angle_alpha 90.00
_cell_angle_beta 99.55
_cell_angle_gamma 90.00
loop_
_atom_site_label
_atom_site_fract_x
_atom_site_fract_y
_atom_site_fract_z
Li1 0.1248 0.2500 0.1654
Li2 0.8752 0.7500 0.8346
Ni1 0.1374 0.2500 0.8000
Ni2 0.2614 0.7500 0.4372
Ni3 0.5000 0.0000 0.0000
Ni4 0.5000 0.5000 0.0000
Ni5 0.7386 0.2500 0.5628
Ni6 0.8626 0.7500 0.2000
P1 0.1862 0.7500 0.1118
P2 0.2411 0.7500 0.7619
P3 0.2883 0.2500 0.5131
P4 0.7117 0.7500 0.4869
P5 0.7589 0.2500 0.2381
P6 0.8138 0.2500 0.8882
O1 0.0104 0.2500 0.9699
O2 0.1140 0.5618 0.7848
O3 0.1140 0.9382 0.7848
O4 0.1348 0.7500 0.2536
O5 0.1424 0.2500 0.6051
O6 0.2510 0.0594 0.4167
O7 0.2510 0.4406 0.4167
O8 0.2905 0.5430 0.0935
O9 0.2905 0.9570 0.0935
O10 0.3071 0.7500 0.6294
O11 0.3780 0.2500 0.9047
O12 0.4143 0.7500 0.8712
O13 0.4798 0.2500 0.5958
O14 0.5202 0.7500 0.4042
O15 0.5857 0.2500 0.1288
O16 0.6220 0.7500 0.0953
O17 0.6929 0.2500 0.3706
O18 0.7095 0.0430 0.9065
O19 0.7095 0.4570 0.9065
O20 0.7490 0.5594 0.5833
O21 0.7490 0.9406 0.5833
O22 0.8576 0.7500 0.3949
O23 0.8652 0.2500 0.7464
O24 0.8860 0.0618 0.2152
O25 0.8860 0.4382 0.2152
O26 0.9896 0.7500 0.0301
```

Principal peaks in the range 10° ≤ 2θ ≤ 90°, by angle:
(1 0 -1), 2θ 13.72, 6.455 Å, I 29; (0 1 1), 2θ 16.61, 5.337 Å, I 64; (1 0 -2), 2θ 19.59, 4.531 Å, I 100; (2 0 0), 2θ 24.38, 3.651 Å, I 29; (2 0 1), 2θ 27.30, 3.267 Å, I 58; (0 2 0), 2θ 28.44, 3.138 Å, I 51; (1 0 3), 2θ 30.95, 2.890 Å, I 62; (1 2 1), 2θ 32.85, 2.727 Å, I 50; (2 0 -3), 2θ 32.99, 2.715 Å, I 37; (2 0 -4), 2θ 39.75, 2.268 Å, I 33

=====

Li2NiP3O10: theoretical X-ray diffraction stick pattern (copper Kα), based on a crystal structure in the Materials Project, relaxed with GGA+U.

Atomic structure:
```
data_Li2NiP3O10
_space_group_name_H-M_alt 'P 1'
_space_group_IT_number 1
_space_group_name_Hall 'P 1'
_cell_length_a 4.6912
_cell_length_b 8.5528
_cell_length_c 9.2415
_cell_angle_alpha 90.00
_cell_angle_beta 98.14
_cell_angle_gamma 90.00
loop_
_atom_site_label
_atom_site_fract_x
_atom_site_fract_y
_atom_site_fract_z
Li1 0.0207 0.0762 0.3454
Li2 0.0207 0.4238 0.3454
Li3 0.9793 0.5762 0.6546
Li4 0.9793 0.9238 0.6546
Ni1 0.0000 0.0000 0.0000
Ni2 0.0000 0.5000 0.0000
P1 0.3216 0.2500 0.8301
P2 0.4148 0.7500 0.4596
P3 0.4646 0.2500 0.1411
P4 0.5354 0.7500 0.8589
P5 0.5852 0.2500 0.5404
P6 0.6784 0.7500 0.1699
O1 0.1502 0.0991 0.8278
O2 0.1502 0.4009 0.8278
O3 0.2299 0.6043 0.4710
O4 0.2299 0.8957 0.4710
O5 0.2528 0.7500 0.7610
O6 0.2816 0.1012 0.1464
O7 0.2816 0.3988 0.1464
O8 0.2984 0.2500 0.4426
O9 0.4351 0.7500 0.0265
O10 0.4805 0.7500 0.2909
O11 0.5195 0.2500 0.7091
O12 0.5649 0.2500 0.9735
O13 0.7016 0.7500 0.5574
O14 0.7184 0.6012 0.8536
O15 0.7184 0.8988 0.8536
O16 0.7472 0.2500 0.2390
O17 0.7701 0.1043 0.5290
O18 0.7701 0.3957 0.5290
O19 0.8498 0.5991 0.1722
O20 0.8498 0.9009 0.1722
```

Principal peaks in the range 10° ≤ 2θ ≤ 90°, by angle:
(0 0 2), 2θ 19.41, 4.574 Å, I 16; (1 0 1), 2θ 22.70, 3.917 Å, I 25; (0 2 1), 2θ 22.96, 3.874 Å, I 19; (1 2 0), 2θ 28.37, 3.146 Å, I 100; (1 2 -1), 2θ 29.12, 3.067 Å, I 24; (0 0 3), 2θ 29.29, 3.050 Å, I 19; (1 1 2), 2θ 31.13, 2.873 Å, I 17; (1 0 -3), 2θ 32.77, 2.733 Å, I 30; (1 2 -2), 2θ 32.97, 2.717 Å, I 23; (0 2 3), 2θ 36.18, 2.483 Å, I 20

=====

Li3Ni2P5O16: theoretical X-ray diffraction stick pattern (copper Kα), based on a crystal structure in the Materials Project, relaxed with GGA+U.

Atomic structure:
```
data_Li3Ni2P5O16
_space_group_name_H-M_alt 'P 1'
_space_group_IT_number 1
_space_group_name_Hall 'P 1'
_cell_length_a 5.0065
_cell_length_b 6.8674
_cell_length_c 18.1403
_cell_angle_alpha 90.00
_cell_angle_beta 92.16
_cell_angle_gamma 90.00
loop_
_atom_site_label
_atom_site_fract_x
_atom_site_fract_y
_atom_site_fract_z
Li1 0.0000 0.0156 0.2500
Li2 0.0000 0.9844 0.7500
Li3 0.2390 0.3270 0.9664
Li4 0.2390 0.6730 0.4664
Li5 0.7610 0.3270 0.5336
Li6 0.7610 0.6730 0.0336
Ni1 0.2336 0.1768 0.4098
Ni2 0.2336 0.8232 0.9098
Ni3 0.7664 0.1768 0.0902
Ni4 0.7664 0.8232 0.5902
P1 0.2377 0.4676 0.1245
P2 0.2377 0.5324 0.6245
P3 0.2737 0.1237 0.5848
P4 0.2737 0.8763 0.0848
P5 0.5000 0.2431 0.2500
P6 0.5000 0.7569 0.7500
P7 0.7263 0.1237 0.9152
P8 0.7263 0.8763 0.4152
P9 0.7623 0.4676 0.3755
P10 0.7623 0.5324 0.8755
O1 0.0599 0.4488 0.3923
O2 0.0599 0.5512 0.8923
O3 0.1155 0.0255 0.1279
O4 0.1155 0.9745 0.6279
O5 0.1211 0.2065 0.5167
O6 0.1211 0.7935 0.0167
O7 0.3020 0.3102 0.6427
O8 0.3020 0.6898 0.1427
O9 0.3035 0.3869 0.2059
O10 0.3035 0.6131 0.7059
O11 0.3233 0.1298 0.2998
O12 0.3233 0.8702 0.7998
O13 0.4199 0.3791 0.0686
O14 0.4199 0.6209 0.5686
O15 0.4340 0.0782 0.9293
O16 0.4340 0.9218 0.4293
O17 0.5660 0.0782 0.5707
O18 0.5660 0.9218 0.0707
O19 0.5801 0.3791 0.4314
O20 0.5801 0.6209 0.9314
O21 0.6767 0.1298 0.2002
O22 0.6767 0.8702 0.7002
O23 0.6965 0.3869 0.2941
O24 0.6965 0.6131 0.7941
O25 0.6980 0.3102 0.8573
O26 0.6980 0.6898 0.3573
O27 0.8789 0.2065 0.9833
O28 0.8789 0.7935 0.4833
O29 0.8845 0.0255 0.3721
O30 0.8845 0.9745 0.8721
O31 0.9401 0.4488 0.1077
O32 0.9401 0.5512 0.6077
```

Principal peaks in the range 10° ≤ 2θ ≤ 90°, by angle:
(0 1 1), 2θ 13.79, 6.422 Å, I 100; (0 0 4), 2θ 19.59, 4.532 Å, I 65; (1 1 -1), 2θ 22.38, 3.972 Å, I 36; (1 1 1), 2θ 22.68, 3.921 Å, I 73; (1 1 -2), 2θ 23.82, 3.735 Å, I 23; (0 0 6), 2θ 29.57, 3.021 Å, I 35; (1 2 -1), 2θ 31.89, 2.806 Å, I 36; (1 2 1), 2θ 32.10, 2.788 Å, I 26; (1 1 -5), 2θ 32.68, 2.740 Å, I 40; (1 2 2), 2θ 33.36, 2.686 Å, I 30